Theoretical powder X-ray diffraction pattern of La2NiIrO6 for a wavelength of 1.5418 Å, from a crystal structure in the Materials Project, relaxed with GGA+U.
Lines closer than 0.1° are merged.

Structure:
a b c (Å): 9.6662 5.7802 9.6999
angles (deg): 90.00 110.04 90.00
Space group P2_1 (No. 4)
One atom of each set of equivalent atoms:
La 0.1307 0.0000 0.1321 x2
La 0.1305 0.3851 0.6319 x2
La 0.3680 0.5007 0.3675 x2
La 0.3680 0.8852 0.8667 x2
Ni 0.9999 0.4427 0.2500 x2
Ni 0.5000 0.4427 0.7501 x2
Ir 0.2508 0.4422 0.0003 x2
Ir 0.2509 0.9430 0.5002 x2
O 0.0812 0.4179 0.0791 x2
O 0.0813 0.9673 0.5794 x2
O 0.1259 0.6426 0.8278 x2
O 0.1259 0.7424 0.3274 x2
O 0.1770 0.1500 0.8784 x2
O 0.1769 0.2353 0.3787 x2
O 0.3217 0.6487 0.6214 x2
O 0.3218 0.7365 0.1215 x2
O 0.3752 0.1427 0.6738 x2
O 0.3750 0.2429 0.1736 x2
O 0.4202 0.9170 0.4220 x2
O 0.4206 0.4684 0.9223 x2

The 10 most intense peaks (2θ = 15–90°), low angle first:
2θ/deg	I/Imax
19.00	122
19.53	112
30.94	224
31.75	1000
32.25	248
45.30	214
45.74	135
55.55	125
57.14	167
57.28	109